# 1
Theoretical powder diffraction line list of Ag4Te2I for Cu Kα (λ = 1.5418 Å), from the GGA-PBE geometry in Alexandria.
Neutral-atom scattering factors, no anomalous dispersion.

Cell and atoms:
abc: 4.3238 11.8002 15.3224
angles: 90.00 90.00 90.00
Positions (direct):
Ag 0.0017 0.2276 0.2500
Ag 0.0017 0.2724 0.7500
Ag 0.0043 0.1148 0.6052
Ag 0.0043 0.1148 0.8948
Ag 0.0043 0.3852 0.1052
Ag 0.0043 0.3852 0.3948
Ag 0.4971 0.7500 0.0000
Ag 0.4971 0.7500 0.5000
Ag 0.5029 0.2500 0.0000
Ag 0.5029 0.2500 0.5000
Ag 0.9957 0.6148 0.6052
Ag 0.9957 0.6148 0.8948
Ag 0.9957 0.8852 0.1052
Ag 0.9957 0.8852 0.3948
Ag 0.9983 0.7276 0.2500
Ag 0.9983 0.7724 0.7500
Te 0.0024 0.1289 0.0849
Te 0.0024 0.1289 0.4151
Te 0.0024 0.3711 0.5849
Te 0.0024 0.3711 0.9151
Te 0.9976 0.6289 0.0849
Te 0.9976 0.6289 0.4151
Te 0.9976 0.8711 0.5849
Te 0.9976 0.8711 0.9151
I 0.4988 0.5834 0.7500
I 0.4988 0.9166 0.2500
I 0.5012 0.0834 0.7500
I 0.5012 0.4166 0.2500

Most intense lines, 10 to 80 degrees two-theta, by intensity:
2θ 38.8, I 100
2θ 28.1, I 99
2θ 31.2, I 96
2θ 20.5, I 80
2θ 44.0, I 74
2θ 41.8, I 69
2θ 41.0, I 61
2θ 38.5, I 57
2θ 36.9, I 51
2θ 35.1, I 49

=====

# 2
Theoretical powder diffraction line list of DyZrIrRh for Cu Kα (λ = 1.5418 Å), from the GGA-PBE geometry in Alexandria.
Neutral-atom scattering factors, no anomalous dispersion.

Cell and atoms:
abc: 3.3490 3.3490 6.8508
angles: 90.00 90.00 90.00
Positions (direct):
Dy 0.0000 0.0000 0.0000
Zr 0.0000 0.0000 0.4961
Ir 0.5000 0.5000 0.2706
Rh 0.5000 0.5000 0.7271

Most intense lines, 10 to 80 degrees two-theta, by intensity:
2θ 37.6, I 100
2θ 38.0, I 50
2θ 68.4, I 34
2θ 54.8, I 17
2θ 67.5, I 16
2θ 29.7, I 11
2θ 12.9, I 8
2θ 53.5, I 8
2θ 55.9, I 4
2θ 74.9, I 3

=====

# 3
Theoretical powder diffraction line list of Ba8Bi5Te for Cu Kα (λ = 1.5418 Å), from the GGA-PBE geometry in Alexandria.
Neutral-atom scattering factors, no anomalous dispersion.

Cell and atoms:
abc: 9.2781 9.2781 9.2781
angles: 109.50 109.50 109.41
Positions (direct):
Ba 0.1238 0.2331 0.7494
Ba 0.1276 0.7362 0.7509
Ba 0.2638 0.0147 0.3914
Ba 0.4836 0.3744 0.2506
Ba 0.6233 0.8724 0.6086
Ba 0.6256 0.8762 0.1092
Ba 0.7669 0.5164 0.8908
Ba 0.9853 0.3767 0.2491
Bi 0.0000 0.0000 0.0000
Bi 0.2499 0.6258 0.1231
Bi 0.3742 0.4973 0.6242
Bi 0.5027 0.1268 0.8769
Bi 0.8732 0.7501 0.3758
Te 0.7500 0.2500 0.5000

Most intense lines, 10 to 80 degrees two-theta, by intensity:
2θ 26.3, I 100
2θ 31.2, I 64
2θ 52.7, I 33
2θ 63.8, I 23
2θ 43.1, I 22
2θ 37.5, I 21
2θ 55.6, I 15
2θ 39.5, I 15
2θ 20.3, I 14
2θ 41.3, I 13